Diffraction record for Ca2Cd2CuPd5. The powder diffractogram is simulated, not measured: it uses the GGA-PBE geometry in Alexandria and a wavelength of 1.5418 Å.
Peak positions follow from Bragg's law for the DFT cell and can differ from measured ones.

Structural model:
Cell: 10.2118 10.2118 3.7314 Å, 90.00 90.00 90.00°
Element x y z (fractional)
Ca 0.1694 0.3306 0.0000
Ca 0.3306 0.8306 0.0000
Ca 0.6694 0.1694 0.0000
Ca 0.8306 0.6694 0.0000
Cd 0.1329 0.6329 0.0000
Cd 0.3671 0.1329 0.0000
Cd 0.6329 0.8671 0.0000
Cd 0.8671 0.3671 0.0000
Cu 0.0000 0.0000 0.0000
Cu 0.5000 0.5000 0.0000
Pd 0.0000 0.5000 0.5000
Pd 0.0551 0.8140 0.5000
Pd 0.1860 0.0551 0.5000
Pd 0.3140 0.5551 0.5000
Pd 0.4449 0.3140 0.5000
Pd 0.5000 0.0000 0.5000
Pd 0.5551 0.6860 0.5000
Pd 0.6860 0.4449 0.5000
Pd 0.8140 0.9449 0.5000
Pd 0.9449 0.1860 0.5000

Main lines, sorted by position (2θ from 10° to 90°):
| two_theta | d/Å | I/Imax |
| --- | --- | --- |
| 19.44 | 4.567 | 33.9 |
| 36.27 | 2.477 | 19.8 |
| 36.81 | 2.442 | 100.0 |
| 37.36 | 2.407 | 22.7 |
| 39.96 | 2.256 | 34.5 |
| 42.92 | 2.107 | 14.8 |
| 43.87 | 2.064 | 14.3 |
| 48.81 | 1.866 | 19.4 |

=====

Diffraction record for Ca2CdCu2Pt5. The powder diffractogram is simulated, not measured: it uses the GGA-PBE geometry in Alexandria and a wavelength of 1.5418 Å.
Peak positions follow from Bragg's law for the DFT cell and can differ from measured ones.

Structural model:
Cell: 9.3847 9.3847 4.0053 Å, 90.00 90.00 90.00°
Element x y z (fractional)
Ca 0.1769 0.3231 0.0000
Ca 0.3231 0.8231 0.0000
Ca 0.6769 0.1769 0.0000
Ca 0.8231 0.6769 0.0000
Cd 0.0000 0.0000 0.0000
Cd 0.5000 0.5000 0.0000
Cu 0.1203 0.6203 0.0000
Cu 0.3797 0.1203 0.0000
Cu 0.6203 0.8797 0.0000
Cu 0.8797 0.3797 0.0000
Pt 0.0000 0.5000 0.5000
Pt 0.0669 0.7897 0.5000
Pt 0.2103 0.0669 0.5000
Pt 0.2897 0.5669 0.5000
Pt 0.4331 0.2897 0.5000
Pt 0.5000 0.0000 0.5000
Pt 0.5669 0.7103 0.5000
Pt 0.7103 0.4331 0.5000
Pt 0.7897 0.9331 0.5000
Pt 0.9331 0.2103 0.5000

Main lines, sorted by position (2θ from 10° to 90°):
| two_theta | d/Å | I/Imax |
| --- | --- | --- |
| 21.17 | 4.197 | 31.2 |
| 22.19 | 4.005 | 47.3 |
| 35.12 | 2.555 | 25.9 |
| 37.73 | 2.384 | 100.0 |
| 39.60 | 2.276 | 39.2 |
| 41.37 | 2.182 | 51.4 |
| 45.28 | 2.003 | 32.8 |
| 45.86 | 1.979 | 26.9 |